This entry pairs a crystal structure of Sc3ZnPd4 with its simulated powder X-ray diffraction pattern. Radiation: Cu Kα (λ = 1.5418 Å). Structure: the GGA-PBE geometry in Alexandria.
No peak broadening, texture or thermal motion is included.

Main lines, sorted by position (10° ≤ 2θ ≤ 90°):
two_theta  I/Imax  (hkl)
27.43  332  1 0 4
39.11  998  0 1 8
39.25  1000  1 1 0
48.32  25  0 0 12
48.55  72  0 2 4
56.61  326  2 0 8
63.93  67  1 1 12
64.12  64  2 1 4
70.77  156  1 0 16
71.08  481  3 0 0
84.05  97  0 2 16
84.39  101  2 2 0

Crystal structure
a = 4.5911 Å, b = 4.5911 Å, c = 22.6048 Å
α = 90.00°, β = 90.00°, γ = 120.00°
Space group R-3m (No. 166, hexagonal axes)
One atom of each set of equivalent atoms:
Sc (0.0000, 0.0000, 0.0000) x3
Sc (0.0000, 0.0000, 0.2450) x6
Zn (0.0000, 0.0000, 0.5000) x3
Pd (0.0000, 0.0000, 0.1233) x6
Pd (0.0000, 0.0000, 0.3742) x6